Record 1
Theoretical powder X-ray diffraction pattern
Compound: K2CdInPt
Radiation: copper Kα
Structure: a PBE-relaxed structure

The 10 most intense peaks (2θ from 10° to 90°), sorted by position:
14.28°, d = 6.200 Å, intensity 71.1, hkl 1 0 0
20.26°, d = 4.384 Å, intensity 100.0, hkl 1 1 0
22.35°, d = 3.978 Å, intensity 49.3, hkl 1 0 1
28.80°, d = 3.100 Å, intensity 95.3, hkl 2 0 0
34.59°, d = 2.593 Å, intensity 29.2, hkl 0 0 2
36.75°, d = 2.445 Å, intensity 27.9, hkl 2 1 1
40.41°, d = 2.232 Å, intensity 35.3, hkl 1 1 2
41.18°, d = 2.192 Å, intensity 35.6, hkl 2 2 0
45.61°, d = 1.989 Å, intensity 52.7, hkl 2 0 2
54.84°, d = 1.674 Å, intensity 30.0, hkl 2 2 2

```
data_K2CdInPt
_cell_length_a 6.2002
_cell_length_b 6.2002
_cell_length_c 5.1865
_cell_angle_alpha 90.00
_cell_angle_beta 90.00
_cell_angle_gamma 90.00
_symmetry_space_group_name_H-M 'P 4/m m m'
_symmetry_Int_Tables_number 123
_symmetry_space_group_name_Hall '-P 4 2'
loop_
_atom_site_label
_atom_site_type_symbol
_atom_site_fract_x
_atom_site_fract_y
_atom_site_fract_z
_atom_site_occupancy
K1 K 0.0000 0.5000 0.0000 1
Cd1 Cd 0.0000 0.0000 0.5000 1
In1 In 0.5000 0.5000 0.5000 1
Pt1 Pt 0.5000 0.5000 0.0000 1
```



Record 2
Theoretical powder X-ray diffraction pattern
Compound: KCd2InSe4
Radiation: copper Kα
Structure: a PBE-relaxed structure

The 10 most intense peaks (2θ from 10° to 90°), sorted by position:
15.23°, d = 5.816 Å, intensity 16.2, hkl 1 0 1
24.31°, d = 3.661 Å, intensity 100.0, hkl 1 1 2
37.58°, d = 2.394 Å, intensity 28.4, hkl 2 2 0
41.50°, d = 2.176 Å, intensity 43.5, hkl 2 0 4
45.26°, d = 2.003 Å, intensity 33.4, hkl 3 1 2
51.94°, d = 1.761 Å, intensity 11.3, hkl 1 1 6
54.19°, d = 1.693 Å, intensity 8.2, hkl 4 0 0
65.83°, d = 1.419 Å, intensity 11.4, hkl 0 0 8
70.49°, d = 1.336 Å, intensity 13.2, hkl 4 2 4
78.32°, d = 1.221 Å, intensity 8.5, hkl 2 2 8

```
data_KCd2InSe4
_cell_length_a 6.7705
_cell_length_b 6.7705
_cell_length_c 11.3600
_cell_angle_alpha 90.00
_cell_angle_beta 90.00
_cell_angle_gamma 90.00
_symmetry_space_group_name_H-M 'I -4 2 m'
_symmetry_Int_Tables_number 121
_symmetry_space_group_name_Hall 'I -4 2'
loop_
_atom_site_label
_atom_site_type_symbol
_atom_site_fract_x
_atom_site_fract_y
_atom_site_fract_z
_atom_site_occupancy
K1 K 0.0000 0.0000 0.0000 1
Cd1 Cd 0.0000 0.5000 0.2500 1
In1 In 0.0000 0.0000 0.5000 1
Se1 Se 0.2185 0.2185 0.3618 1
```



Record 3
Theoretical powder X-ray diffraction pattern
Compound: KCdInSn2
Radiation: copper Kα
Structure: a PBE-relaxed structure

The 10 most intense peaks (2θ from 10° to 90°), sorted by position:
14.62°, d = 6.061 Å, intensity 42.9, hkl 0 0 2
18.89°, d = 4.698 Å, intensity 58.3, hkl 1 0 1
28.19°, d = 3.166 Å, intensity 45.8, hkl 1 0 3
28.82°, d = 3.097 Å, intensity 100.0, hkl 1 1 2
35.22°, d = 2.548 Å, intensity 91.6, hkl 2 0 0
38.83°, d = 2.319 Å, intensity 98.7, hkl 1 1 4
41.24°, d = 2.189 Å, intensity 26.0, hkl 1 0 5
45.71°, d = 1.985 Å, intensity 24.3, hkl 2 1 3
50.67°, d = 1.802 Å, intensity 32.1, hkl 2 2 0
65.62°, d = 1.423 Å, intensity 42.7, hkl 3 1 4

```
data_KCdInSn2
_cell_length_a 5.0960
_cell_length_b 5.0960
_cell_length_c 12.1212
_cell_angle_alpha 90.00
_cell_angle_beta 90.00
_cell_angle_gamma 90.00
_symmetry_space_group_name_H-M 'I -4 m 2'
_symmetry_Int_Tables_number 119
_symmetry_space_group_name_Hall 'I -4 -2'
loop_
_atom_site_label
_atom_site_type_symbol
_atom_site_fract_x
_atom_site_fract_y
_atom_site_fract_z
_atom_site_occupancy
K1 K 0.0000 0.0000 0.0000 1
Cd1 Cd 0.0000 0.5000 0.7500 1
In1 In 0.0000 0.5000 0.2500 1
Sn1 Sn 0.0000 0.0000 0.3810 1
```



Record 4
Theoretical powder X-ray diffraction pattern
Compound: KSrCdIn
Radiation: copper Kα
Structure: a PBE-relaxed structure

The 10 most intense peaks (2θ from 10° to 90°), sorted by position:
18.61°, d = 4.767 Å, intensity 3.6, hkl 1 1 1
21.53°, d = 4.128 Å, intensity 9.4, hkl 2 0 0
30.63°, d = 2.919 Å, intensity 100.0, hkl 2 2 0
43.86°, d = 2.064 Å, intensity 18.1, hkl 4 0 0
49.36°, d = 1.846 Å, intensity 4.3, hkl 4 2 0
54.44°, d = 1.685 Å, intensity 37.2, hkl 4 2 2
63.76°, d = 1.460 Å, intensity 11.3, hkl 4 4 0
72.39°, d = 1.305 Å, intensity 15.5, hkl 6 2 0
80.61°, d = 1.192 Å, intensity 3.8, hkl 4 4 4
88.65°, d = 1.103 Å, intensity 18.7, hkl 6 4 2

```
data_KSrCdIn
_cell_length_a 8.2566
_cell_length_b 8.2566
_cell_length_c 8.2566
_cell_angle_alpha 90.00
_cell_angle_beta 90.00
_cell_angle_gamma 90.00
_symmetry_space_group_name_H-M 'F -4 3 m'
_symmetry_Int_Tables_number 216
_symmetry_space_group_name_Hall 'F -4 2 3'
loop_
_atom_site_label
_atom_site_type_symbol
_atom_site_fract_x
_atom_site_fract_y
_atom_site_fract_z
_atom_site_occupancy
K1 K 0.0000 0.0000 0.0000 1
Sr1 Sr 0.0000 0.0000 0.5000 1
Cd1 Cd 0.2500 0.2500 0.7500 1
In1 In 0.2500 0.2500 0.2500 1
```



Record 5
Theoretical powder X-ray diffraction pattern
Compound: KTlCdIn2
Radiation: copper Kα
Structure: a PBE-relaxed structure

The 10 most intense peaks (2θ from 10° to 90°), sorted by position:
13.67°, d = 6.477 Å, intensity 48.4, hkl 0 0 2
19.16°, d = 4.632 Å, intensity 42.8, hkl 1 0 1
27.39°, d = 3.257 Å, intensity 22.8, hkl 1 0 3
28.95°, d = 3.084 Å, intensity 100.0, hkl 1 1 2
36.22°, d = 2.480 Å, intensity 60.3, hkl 2 0 0
37.81°, d = 2.379 Å, intensity 75.3, hkl 1 1 4
39.23°, d = 2.296 Å, intensity 20.5, hkl 0 1 5
52.16°, d = 1.754 Å, intensity 20.7, hkl 2 2 0
60.76°, d = 1.524 Å, intensity 23.9, hkl 3 1 2
66.20°, d = 1.412 Å, intensity 28.8, hkl 3 1 4

```
data_KTlCdIn2
_cell_length_a 4.9582
_cell_length_b 4.9619
_cell_length_c 12.9542
_cell_angle_alpha 90.00
_cell_angle_beta 90.00
_cell_angle_gamma 90.00
_symmetry_space_group_name_H-M 'I m m 2'
_symmetry_Int_Tables_number 44
loop_
_symmetry_equiv_pos_as_xyz
'x,y,z'
'-x,-y,z'
'-x,y,z'
'x,-y,z'
'x+1/2,y+1/2,z+1/2'
'-x+1/2,-y+1/2,z+1/2'
'-x+1/2,y+1/2,z+1/2'
'x+1/2,-y+1/2,z+1/2'
loop_
_atom_site_label
_atom_site_type_symbol
_atom_site_fract_x
_atom_site_fract_y
_atom_site_fract_z
_atom_site_occupancy
K1 K 0.0000 0.0000 0.0000 1
Tl1 Tl 0.0000 0.5000 0.7441 1
Cd1 Cd 0.0000 0.0000 0.6081 1
In1 In 0.0000 0.0000 0.3863 1
In2 In 0.0000 0.5000 0.2470 1
```



Record 6
Theoretical powder X-ray diffraction pattern
Compound: KTlCd2In
Radiation: copper Kα
Structure: a PBE-relaxed structure

The 10 most intense peaks (2θ from 10° to 90°), sorted by position:
13.55°, d = 6.536 Å, intensity 30.5, hkl 0 0 2
19.38°, d = 4.581 Å, intensity 45.9, hkl 0 1 1
19.49°, d = 4.554 Å, intensity 46.6, hkl 1 0 1
27.46°, d = 3.249 Å, intensity 47.7, hkl 1 0 3
29.29°, d = 3.049 Å, intensity 95.0, hkl 1 1 2
36.75°, d = 2.446 Å, intensity 39.4, hkl 0 2 0
37.01°, d = 2.429 Å, intensity 38.6, hkl 2 0 0
37.94°, d = 2.371 Å, intensity 100.0, hkl 1 1 4
39.10°, d = 2.304 Å, intensity 42.0, hkl 0 1 5
53.14°, d = 1.723 Å, intensity 26.6, hkl 2 2 0

```
data_KTlCd2In
_cell_length_a 4.8585
_cell_length_b 4.8911
_cell_length_c 13.0711
_cell_angle_alpha 90.00
_cell_angle_beta 90.00
_cell_angle_gamma 90.00
_symmetry_space_group_name_H-M 'I m m 2'
_symmetry_Int_Tables_number 44
loop_
_symmetry_equiv_pos_as_xyz
'x,y,z'
'-x,-y,z'
'-x,y,z'
'x,-y,z'
'x+1/2,y+1/2,z+1/2'
'-x+1/2,-y+1/2,z+1/2'
'-x+1/2,y+1/2,z+1/2'
'x+1/2,-y+1/2,z+1/2'
loop_
_atom_site_label
_atom_site_type_symbol
_atom_site_fract_x
_atom_site_fract_y
_atom_site_fract_z
_atom_site_occupancy
K1 K 0.0000 0.0000 0.0000 1
Tl1 Tl 0.0000 0.0000 0.6116 1
Cd1 Cd 0.0000 0.0000 0.3854 1
Cd2 Cd 0.0000 0.5000 0.2567 1
In1 In 0.0000 0.5000 0.7552 1
```



Record 7
Theoretical powder X-ray diffraction pattern
Compound: La4Cd3In
Radiation: copper Kα
Structure: a PBE-relaxed structure

The 10 most intense peaks (2θ from 10° to 90°), sorted by position:
22.56°, d = 3.941 Å, intensity 0.8, hkl 1 0 4
32.12°, d = 2.787 Å, intensity 100.0, hkl 1 1 0
46.06°, d = 1.971 Å, intensity 18.1, hkl 2 0 8
57.24°, d = 1.609 Å, intensity 28.0, hkl 1 2 8
57.30°, d = 1.608 Å, intensity 9.3, hkl 3 0 0
67.13°, d = 1.394 Å, intensity 5.7, hkl 0 2 16
67.23°, d = 1.393 Å, intensity 5.7, hkl 2 2 0
76.42°, d = 1.246 Å, intensity 15.7, hkl 3 1 8
85.17°, d = 1.139 Å, intensity 1.0, hkl 0 0 24
85.36°, d = 1.137 Å, intensity 3.0, hkl 0 4 8

```
data_La4Cd3In
_cell_length_a 5.5702
_cell_length_b 5.5702
_cell_length_c 27.3436
_cell_angle_alpha 90.00
_cell_angle_beta 90.00
_cell_angle_gamma 120.00
_symmetry_space_group_name_H-M 'R -3 m'
_symmetry_Int_Tables_number 166
_symmetry_space_group_name_Hall '-R 3 2"'
loop_
_atom_site_label
_atom_site_type_symbol
_atom_site_fract_x
_atom_site_fract_y
_atom_site_fract_z
_atom_site_occupancy
La1 La 0.0000 0.0000 0.1249 1
La2 La 0.0000 0.0000 0.3749 1
Cd1 Cd 0.0000 0.0000 0.0000 1
Cd2 Cd 0.0000 0.0000 0.2505 1
In1 In 0.0000 0.0000 0.5000 1
```



Record 8
Theoretical powder X-ray diffraction pattern
Compound: La3Cd7In2
Radiation: copper Kα
Structure: a PBE-relaxed structure

The 10 most intense peaks (2θ from 10° to 90°), sorted by position:
29.19°, d = 3.059 Å, intensity 28.0, hkl 1 1 0
29.70°, d = 3.008 Å, intensity 18.1, hkl 0 1 8
33.98°, d = 2.639 Å, intensity 29.5, hkl 0 2 1
34.62°, d = 2.591 Å, intensity 100.0, hkl 1 1 6
36.90°, d = 2.436 Å, intensity 22.1, hkl 0 0 12
37.26°, d = 2.413 Å, intensity 29.3, hkl 2 0 5
55.33°, d = 1.660 Å, intensity 25.4, hkl 0 3 6
60.53°, d = 1.530 Å, intensity 25.1, hkl 2 2 0
73.04°, d = 1.295 Å, intensity 16.6, hkl 2 2 12
86.51°, d = 1.125 Å, intensity 14.1, hkl 4 1 6

```
data_La3Cd7In2
_cell_length_a 6.1185
_cell_length_b 6.1185
_cell_length_c 29.2289
_cell_angle_alpha 90.00
_cell_angle_beta 90.00
_cell_angle_gamma 120.00
_symmetry_space_group_name_H-M 'R -3 m'
_symmetry_Int_Tables_number 166
_symmetry_space_group_name_Hall '-R 3 2"'
loop_
_atom_site_label
_atom_site_type_symbol
_atom_site_fract_x
_atom_site_fract_y
_atom_site_fract_z
_atom_site_occupancy
La1 La 0.0000 0.0000 0.0000 1
La2 La 0.0000 0.0000 0.1434 1
Cd1 Cd 0.0000 0.0000 0.5000 1
Cd2 Cd 0.0072 0.5036 0.9150 1
In1 In 0.0000 0.0000 0.3352 1
```



Record 9
Theoretical powder X-ray diffraction pattern
Compound: La4Cd3In2
Radiation: copper Kα
Structure: a PBE-relaxed structure

The 10 most intense peaks (2θ from 10° to 90°), sorted by position:
25.41°, d = 3.506 Å, intensity 6.7, hkl 0 0 3
31.82°, d = 2.812 Å, intensity 98.5, hkl 1 0 3
33.12°, d = 2.705 Å, intensity 100.0, hkl 1 1 0
46.59°, d = 1.949 Å, intensity 33.7, hkl 0 2 3
55.86°, d = 1.646 Å, intensity 10.6, hkl 0 1 6
58.35°, d = 1.582 Å, intensity 33.9, hkl 2 1 3
59.16°, d = 1.562 Å, intensity 18.3, hkl 3 0 0
69.50°, d = 1.352 Å, intensity 11.2, hkl 2 2 0
76.33°, d = 1.248 Å, intensity 8.3, hkl 1 2 6
78.47°, d = 1.219 Å, intensity 14.1, hkl 1 3 3

```
data_La4Cd3In2
_cell_length_a 5.4097
_cell_length_b 5.4097
_cell_length_c 10.5479
_cell_angle_alpha 90.00
_cell_angle_beta 90.00
_cell_angle_gamma 120.00
_symmetry_space_group_name_H-M 'P -3 m 1'
_symmetry_Int_Tables_number 164
_symmetry_space_group_name_Hall '-P 3 2"'
loop_
_atom_site_label
_atom_site_type_symbol
_atom_site_fract_x
_atom_site_fract_y
_atom_site_fract_z
_atom_site_occupancy
La1 La 0.0000 0.0000 0.1557 1
La2 La 0.3333 0.6667 0.3817 1
Cd1 Cd 0.0000 0.0000 0.5000 1
Cd2 Cd 0.3333 0.6667 0.0047 1
In1 In 0.3333 0.6667 0.7104 1
```



Record 10
Theoretical powder X-ray diffraction pattern
Compound: La3Cd6In5
Radiation: copper Kα
Structure: a PBE-relaxed structure

The 10 most intense peaks (2θ from 10° to 90°), sorted by position:
30.93°, d = 2.891 Å, intensity 21.4, hkl 1 0 3
31.21°, d = 2.866 Å, intensity 16.0, hkl 0 3 3
31.33°, d = 2.856 Å, intensity 100.0, hkl 1 3 2
33.51°, d = 2.674 Å, intensity 24.5, hkl 1 2 3
37.44°, d = 2.402 Å, intensity 39.4, hkl 2 0 0
38.35°, d = 2.347 Å, intensity 25.1, hkl 0 6 0
38.63°, d = 2.331 Å, intensity 16.8, hkl 1 1 4
40.37°, d = 2.234 Å, intensity 15.1, hkl 1 4 3
54.67°, d = 1.679 Å, intensity 17.7, hkl 2 6 0
60.43°, d = 1.532 Å, intensity 15.5, hkl 1 7 4

```
data_La3Cd6In5
_cell_length_a 4.8043
_cell_length_b 14.0815
_cell_length_c 10.8581
_cell_angle_alpha 90.00
_cell_angle_beta 90.00
_cell_angle_gamma 90.00
_symmetry_space_group_name_H-M 'P m m n'
_symmetry_Int_Tables_number 59
loop_
_symmetry_equiv_pos_as_xyz
'x,y,z'
'-x,-y,-z'
'-x+1/2,-y+1/2,z'
'x+1/2,y+1/2,-z'
'x+1/2,-y,-z'
'-x+1/2,y,z'
'-x,y+1/2,-z'
'x,-y+1/2,z'
loop_
_atom_site_label
_atom_site_type_symbol
_atom_site_fract_x
_atom_site_fract_y
_atom_site_fract_z
_atom_site_occupancy
La1 La 0.2500 0.0576 0.2480 1
La2 La 0.2500 0.7500 0.2507 1
Cd1 Cd 0.2500 0.0917 0.6164 1
Cd2 Cd 0.2500 0.2500 0.0511 1
Cd3 Cd 0.2500 0.2500 0.4433 1
Cd4 Cd 0.2500 0.6012 0.9754 1
In1 In 0.2500 0.0949 0.8739 1
In2 In 0.2500 0.6082 0.5301 1
In3 In 0.2500 0.7500 0.7617 1
```



Record 11
Theoretical powder X-ray diffraction pattern
Compound: La2Cd2In3
Radiation: copper Kα
Structure: a PBE-relaxed structure

The 10 most intense peaks (2θ from 10° to 90°), sorted by position:
27.94°, d = 3.194 Å, intensity 18.5, hkl 0 6 1
29.81°, d = 2.998 Å, intensity 88.0, hkl 1 1 2
30.48°, d = 2.932 Å, intensity 100.0, hkl 1 5 1
34.14°, d = 2.626 Å, intensity 25.1, hkl 0 8 0
37.37°, d = 2.406 Å, intensity 46.9, hkl 2 0 0
38.67°, d = 2.329 Å, intensity 40.0, hkl 0 4 3
41.53°, d = 2.174 Å, intensity 22.0, hkl 1 3 3
49.29°, d = 1.849 Å, intensity 18.7, hkl 1 9 2
51.50°, d = 1.774 Å, intensity 21.7, hkl 2 8 0
54.87°, d = 1.673 Å, intensity 28.3, hkl 2 4 3

```
data_La2Cd2In3
_cell_length_a 4.8124
_cell_length_b 21.0075
_cell_length_c 7.7940
_cell_angle_alpha 90.00
_cell_angle_beta 90.00
_cell_angle_gamma 90.00
_symmetry_space_group_name_H-M 'C m c m'
_symmetry_Int_Tables_number 63
_symmetry_space_group_name_Hall '-C 2c 2'
loop_
_atom_site_label
_atom_site_type_symbol
_atom_site_fract_x
_atom_site_fract_y
_atom_site_fract_z
_atom_site_occupancy
La1 La 0.0000 0.0487 0.2500 1
La2 La 0.0000 0.1578 0.7500 1
Cd1 Cd 0.0000 0.3134 0.5579 1
In1 In 0.0000 0.2234 0.2500 1
In2 In 0.0000 0.4391 0.0691 1
```